# 1
# PmNbIO4
Calculated powder diffraction line list, Cu Kα (weighted mean of Kα1 and Kα2). Input: DFT lattice parameters and positions (GGA-PBE).
Intensities are scaled so that the largest is 100.

Structural model:
Cell lengths 7.1899, 7.1899, 7.1267 Å; angles 102.98, 102.98, 55.03 degrees
Element x y z (fractional)
Pm 0.2084 0.2084 0.3383
Pm 0.7916 0.7916 0.6617
Nb 0.1249 0.1249 0.7466
Nb 0.8751 0.8751 0.2534
I 0.4709 0.4709 0.8058
I 0.5291 0.5291 0.1942
O 0.0248 0.0248 0.2995
O 0.0363 0.6042 0.3785
O 0.1858 0.1858 0.0115
O 0.3958 0.9637 0.6215
O 0.6042 0.0363 0.3785
O 0.8142 0.8142 0.9885
O 0.9637 0.3958 0.6215
O 0.9752 0.9752 0.7005

The 10 most intense peaks (10 to 90 degrees two-theta), sorted by position:
| 2θ/deg | I/Imax |
| --- | --- |
| 25.47 | 100 |
| 25.85 | 37 |
| 25.97 | 49 |
| 26.84 | 74 |
| 31.07 | 33 |
| 31.71 | 20 |
| 32.30 | 30 |
| 37.61 | 28 |
| 40.41 | 24 |
| 51.03 | 36 |


# 2
# Rb4UPa3N8
Calculated powder diffraction line list, Cu Kα (weighted mean of Kα1 and Kα2). Input: DFT lattice parameters and positions (GGA-PBE).
Intensities are scaled so that the largest is 100.

Structural model:
Cell lengths 7.9294, 7.9294, 7.9294 Å; angles 54.18, 54.18, 54.18 degrees
Element x y z (fractional)
Rb 0.0000 0.0000 0.0000
Rb 0.0000 0.5000 0.5000
Rb 0.5000 0.0000 0.5000
Rb 0.5000 0.5000 0.0000
U 0.5000 0.5000 0.5000
Pa 0.0000 0.0000 0.5000
Pa 0.0000 0.5000 0.0000
Pa 0.5000 0.0000 0.0000
N 0.2166 0.2166 0.2166
N 0.2213 0.7145 0.7145
N 0.2855 0.2855 0.7787
N 0.2855 0.7787 0.2855
N 0.7145 0.2213 0.7145
N 0.7145 0.7145 0.2213
N 0.7787 0.2855 0.2855
N 0.7834 0.7834 0.7834

The 10 most intense peaks (10 to 90 degrees two-theta), sorted by position:
| 2θ/deg | I/Imax |
| --- | --- |
| 13.13 | 66 |
| 26.43 | 51 |
| 28.89 | 23 |
| 29.91 | 100 |
| 33.70 | 98 |
| 46.16 | 36 |
| 50.55 | 32 |
| 53.98 | 25 |
| 57.94 | 36 |
| 62.14 | 17 |


# 3
# Er12Ni5Pb
Calculated powder diffraction line list, Cu Kα (weighted mean of Kα1 and Kα2). Input: DFT lattice parameters and positions (GGA-PBE).
Intensities are scaled so that the largest is 100.

Structural model:
Cell lengths 8.2604, 8.2604, 8.2604 Å; angles 111.53, 109.93, 106.99 degrees
Element x y z (fractional)
Er 0.0193 0.2116 0.8077
Er 0.1811 0.2922 0.4732
Er 0.1811 0.7078 0.8889
Er 0.3212 0.0149 0.6937
Er 0.3212 0.6275 0.3063
Er 0.4039 0.2116 0.1923
Er 0.5961 0.7884 0.8077
Er 0.6788 0.3725 0.6937
Er 0.6788 0.9851 0.3063
Er 0.8189 0.2922 0.1111
Er 0.8189 0.7078 0.5268
Er 0.9807 0.7884 0.1923
Ni 0.0000 0.0000 0.0000
Ni 0.1234 0.6234 0.5000
Ni 0.3643 0.0000 0.3643
Ni 0.6357 0.0000 0.6357
Ni 0.8766 0.3766 0.5000
Pb 0.5000 0.5000 0.0000

The 10 most intense peaks (10 to 90 degrees two-theta), sorted by position:
| 2θ/deg | I/Imax |
| --- | --- |
| 28.88 | 27 |
| 29.68 | 33 |
| 30.35 | 36 |
| 32.55 | 100 |
| 34.82 | 63 |
| 35.10 | 63 |
| 35.81 | 35 |
| 56.94 | 32 |
| 59.73 | 29 |
| 60.80 | 32 |


# 4
# PbCO4
Calculated powder diffraction line list, Cu Kα (weighted mean of Kα1 and Kα2). Input: DFT lattice parameters and positions (GGA-PBE).
Intensities are scaled so that the largest is 100.

Structural model:
Cell lengths 5.8020, 5.5941, 5.8523 Å; angles 90.00, 111.76, 90.00 degrees
Element x y z (fractional)
Pb 0.2041 0.2500 0.3785
Pb 0.7959 0.7500 0.6215
C 0.2836 0.7500 0.1734
C 0.7164 0.2500 0.8266
O 0.0000 0.0000 0.5000
O 0.0000 0.5000 0.5000
O 0.0573 0.7500 0.0372
O 0.4129 0.5535 0.2573
O 0.4129 0.9465 0.2573
O 0.5871 0.0535 0.7427
O 0.5871 0.4465 0.7427
O 0.9427 0.2500 0.9628

The 10 most intense peaks (10 to 90 degrees two-theta), sorted by position:
| 2θ/deg | I/Imax |
| --- | --- |
| 16.31 | 64 |
| 18.39 | 37 |
| 22.81 | 37 |
| 22.92 | 83 |
| 24.36 | 100 |
| 27.28 | 41 |
| 36.77 | 42 |
| 42.48 | 30 |
| 45.23 | 29 |
| 51.89 | 33 |


# 5
# SrTlPd6
Calculated powder diffraction line list, Cu Kα (weighted mean of Kα1 and Kα2). Input: DFT lattice parameters and positions (GGA-PBE).
Intensities are scaled so that the largest is 100.

Structural model:
Cell lengths 5.2983, 5.2983, 5.2983 Å; angles 90.00, 90.00, 90.00 degrees
Element x y z (fractional)
Sr 0.0000 0.0000 0.0000
Tl 0.5000 0.5000 0.5000
Pd 0.0000 0.2542 0.5000
Pd 0.0000 0.7458 0.5000
Pd 0.2542 0.5000 0.0000
Pd 0.5000 0.0000 0.2542
Pd 0.5000 0.0000 0.7458
Pd 0.7458 0.5000 0.0000

The 10 most intense peaks (10 to 90 degrees two-theta), sorted by position:
| 2θ/deg | I/Imax |
| --- | --- |
| 16.73 | 12 |
| 33.84 | 43 |
| 37.97 | 100 |
| 41.76 | 97 |
| 63.29 | 21 |
| 65.97 | 50 |
| 71.18 | 17 |
| 81.19 | 14 |
| 83.64 | 20 |
| 86.07 | 12 |


# 6
# HgICl2
Calculated powder diffraction line list, Cu Kα (weighted mean of Kα1 and Kα2). Input: DFT lattice parameters and positions (GGA-PBE).
Intensities are scaled so that the largest is 100.

Structural model:
Cell lengths 6.0442, 6.0442, 4.0854 Å; angles 101.06, 101.06, 76.41 degrees
Element x y z (fractional)
Hg 0.0000 0.0000 0.0000
I 0.6232 0.3768 0.0000
Cl 0.2917 0.0662 0.6773
Cl 0.9338 0.7083 0.3227

The 10 most intense peaks (10 to 90 degrees two-theta), sorted by position:
| 2θ/deg | I/Imax |
| --- | --- |
| 15.26 | 97 |
| 19.27 | 100 |
| 22.44 | 78 |
| 23.80 | 69 |
| 25.84 | 56 |
| 30.81 | 37 |
| 32.94 | 34 |
| 33.24 | 54 |
| 37.38 | 39 |
| 42.71 | 43 |